# 1
Structure and simulated XRD peak list of Li3Mn8O4F12 (a crystal structure in the Materials Project, relaxed with GGA+U; CuKα).
Neutral-atom scattering factors, no anomalous dispersion.

Largest 10 diffraction maxima, in order of rising 2θ, 10 to 80 degrees two-theta:
| two_theta | I/Imax |
| --- | --- |
| 17.33 | 31 |
| 18.14 | 46 |
| 19.60 | 32 |
| 29.61 | 17 |
| 33.73 | 21 |
| 39.80 | 58 |
| 41.78 | 100 |
| 57.69 | 35 |
| 59.66 | 16 |
| 60.39 | 18 |

Structural model:
Lattice parameters (Å, degrees): 6.1991 6.3971 10.3678 89.00 72.65 61.06
Sites, in units of the cell vectors:
Li 0.0000 0.0000 0.0000
Li 0.2257 0.3913 0.1574
Li 0.6128 0.1957 0.5788
Mn 0.1089 0.4543 0.8270
Mn 0.1129 0.6955 0.5789
Mn 0.1163 0.9371 0.3308
Mn 0.5996 0.9467 0.8545
Mn 0.6099 0.4542 0.8269
Mn 0.6128 0.6955 0.5790
Mn 0.6156 0.9371 0.3308
Mn 0.6277 0.4421 0.3020
O 0.3775 0.5549 0.6914
O 0.3860 0.7801 0.4470
O 0.8414 0.6094 0.7096
O 0.8480 0.8363 0.4662
F 0.3441 0.5853 0.2081
F 0.3497 0.0803 0.2211
F 0.3624 0.3205 0.9549
F 0.3620 0.8069 0.9493
F 0.3790 0.0876 0.7132
F 0.4037 0.3053 0.4452
F 0.8219 0.0870 0.7124
F 0.8461 0.3038 0.4444
F 0.8632 0.0705 0.2026
F 0.8634 0.5844 0.2084
F 0.8759 0.3109 0.9364
F 0.8816 0.8068 0.9496


# 2
Structure and simulated XRD peak list of KHoCoSi2O7 (a crystal structure in the Materials Project, relaxed with GGA+U; CuKα).
Neutral-atom scattering factors, no anomalous dispersion.

Largest 10 diffraction maxima, in order of rising 2θ, 10 to 80 degrees two-theta:
| two_theta | I/Imax |
| --- | --- |
| 15.82 | 80 |
| 20.29 | 51 |
| 28.29 | 67 |
| 29.33 | 100 |
| 29.93 | 43 |
| 31.95 | 22 |
| 32.56 | 41 |
| 34.39 | 31 |
| 36.92 | 21 |
| 43.14 | 20 |

Structural model:
Lattice parameters (Å, degrees): 6.4290 6.4290 8.5914 101.59 101.59 101.80
Sites, in units of the cell vectors:
K 0.2071 0.2071 0.2579
K 0.7929 0.7929 0.7421
Ho 0.1750 0.3244 0.7953
Ho 0.6756 0.8250 0.2047
Co 0.2138 0.7862 0.5000
Co 0.7029 0.2971 0.0000
Si 0.1387 0.6539 0.1265
Si 0.3461 0.8613 0.8735
Si 0.5802 0.2710 0.6446
Si 0.7290 0.4198 0.3554
O 0.0280 0.3930 0.0389
O 0.2037 0.0401 0.8838
O 0.2662 0.6715 0.6990
O 0.3051 0.6949 0.0000
O 0.3285 0.7338 0.3010
O 0.3289 0.1067 0.5845
O 0.5611 0.4215 0.8204
O 0.5785 0.4389 0.1796
O 0.5886 0.4114 0.5000
O 0.6070 0.9720 0.9611
O 0.8052 0.1910 0.3190
O 0.8090 0.1948 0.6810
O 0.8933 0.6711 0.4155
O 0.9599 0.7963 0.1162